No. 1
Structure and computed powder diffraction line list of Li7MnO3F3 (a GGA+U-relaxed structure; Cu Kα).
Intensities are scaled so that the largest is 100.

Main lines, sorted by position (10 to 90 degrees two-theta):
18.38 deg, I = 60
18.68 deg, I = 67
19.84 deg, I = 67
20.65 deg, I = 54
20.94 deg, I = 63
22.14 deg, I = 53
34.35 deg, I = 100
35.06 deg, I = 96
38.30 deg, I = 59
45.17 deg, I = 44

Atomic structure:
```
data_Li7MnO3F3
_cell_length_a 5.477
_cell_length_b 6.071
_cell_length_c 10.137
_cell_angle_alpha 105.91
_cell_angle_beta 91.31
_cell_angle_gamma 111.43
_space_group_name_H-M_alt 'P 1'
_space_group_IT_number 1
loop_
_space_group_symop_operation_xyz
'x,y,z'
loop_
_atom_site_label
_atom_site_type_symbol
_atom_site_fract_x
_atom_site_fract_y
_atom_site_fract_z
_atom_site_occupancy
Li1 Li 0.000 0.000 0.000 1
Li2 Li 0.002 0.328 0.895 1
Li3 Li 0.043 0.015 0.379 1
Li4 Li 0.045 0.981 0.675 1
Li5 Li 0.475 0.340 0.064 1
Li6 Li 0.485 0.982 0.843 1
Li7 Li 0.488 0.287 0.374 1
Li8 Li 0.502 0.023 0.502 1
Li9 Li 0.510 0.305 0.723 1
Li10 Li 0.521 0.020 0.169 1
Li11 Li 0.564 0.709 0.305 1
Li12 Li 0.929 0.612 0.454 1
Li13 Li 0.954 0.304 0.581 1
Li14 Li 0.982 0.271 0.230 1
Mn1 Mn 0.028 0.639 0.165 1
Mn2 Mn 0.537 0.684 0.603 1
O1 O 0.143 0.361 0.077 1
O2 O 0.325 0.918 0.312 1
O3 O 0.346 0.911 0.655 1
O4 O 0.663 0.399 0.561 1
O5 O 0.705 0.420 0.245 1
O6 O 0.804 0.901 0.495 1
F1 F 0.155 0.367 0.413 1
F2 F 0.175 0.344 0.737 1
F3 F 0.320 0.949 0.002 1
F4 F 0.666 0.356 0.907 1
F5 F 0.821 0.938 0.824 1
F6 F 0.823 0.916 0.171 1
```

---

No. 2
Structure and computed powder diffraction line list of LiMn2O2F3 (a GGA+U-relaxed structure; Cu Kα).
Intensities are scaled so that the largest is 100.

Main lines, sorted by position (10 to 90 degrees two-theta):
18.06 deg, I = 57
23.76 deg, I = 100
25.37 deg, I = 55
25.58 deg, I = 28
32.29 deg, I = 32
32.66 deg, I = 28
40.31 deg, I = 24
44.76 deg, I = 49
46.18 deg, I = 25
50.97 deg, I = 25

Atomic structure:
```
data_LiMn2O2F3
_cell_length_a 5.313
_cell_length_b 5.313
_cell_length_c 9.994
_cell_angle_alpha 90.63
_cell_angle_beta 90.63
_cell_angle_gamma 44.80
_space_group_name_H-M_alt 'P 1'
_space_group_IT_number 1
loop_
_space_group_symop_operation_xyz
'x,y,z'
loop_
_atom_site_label
_atom_site_type_symbol
_atom_site_fract_x
_atom_site_fract_y
_atom_site_fract_z
_atom_site_occupancy
Li1 Li 0.137 0.137 0.060 1
Li2 Li 0.863 0.863 0.940 1
Mn1 Mn 0.140 0.140 0.442 1
Mn2 Mn 0.184 0.184 0.749 1
Mn3 Mn 0.816 0.816 0.251 1
Mn4 Mn 0.860 0.860 0.558 1
O1 O 0.047 0.047 0.614 1
O2 O 0.311 0.311 0.575 1
O3 O 0.689 0.689 0.425 1
O4 O 0.953 0.953 0.386 1
F1 F 0.047 0.047 0.881 1
F2 F 0.237 0.237 0.261 1
F3 F 0.313 0.313 0.906 1
F4 F 0.687 0.687 0.094 1
F5 F 0.763 0.763 0.739 1
F6 F 0.953 0.953 0.119 1
```

---

No. 3
Structure and computed powder diffraction line list of Li4MnOF4 (a GGA+U-relaxed structure; Cu Kα).
Intensities are scaled so that the largest is 100.

Main lines, sorted by position (10 to 90 degrees two-theta):
17.66 deg, I = 29
25.04 deg, I = 100
40.14 deg, I = 49
44.08 deg, I = 46
51.38 deg, I = 22
51.45 deg, I = 11
54.83 deg, I = 13
61.09 deg, I = 23
70.02 deg, I = 12
72.84 deg, I = 10

Atomic structure:
```
data_Li4MnOF4
_cell_length_a 5.428
_cell_length_b 5.428
_cell_length_c 5.428
_cell_angle_alpha 98.25
_cell_angle_beta 98.25
_cell_angle_gamma 135.47
_space_group_name_H-M_alt 'P 1'
_space_group_IT_number 1
loop_
_space_group_symop_operation_xyz
'x,y,z'
loop_
_atom_site_label
_atom_site_type_symbol
_atom_site_fract_x
_atom_site_fract_y
_atom_site_fract_z
_atom_site_occupancy
Li1 Li 0.030 0.297 0.327 1
Li2 Li 0.297 0.970 0.267 1
Li3 Li 0.703 0.030 0.733 1
Li4 Li 0.970 0.703 0.673 1
Mn1 Mn 0.500 0.500 0.000 1
O1 O 0.000 0.000 0.000 1
F1 F 0.191 0.542 0.733 1
F2 F 0.458 0.191 0.649 1
F3 F 0.542 0.809 0.351 1
F4 F 0.809 0.458 0.267 1
```

---

No. 4
Structure and computed powder diffraction line list of LiMn2O2F3 (a GGA+U-relaxed structure; Cu Kα).
Intensities are scaled so that the largest is 100.

Main lines, sorted by position (10 to 90 degrees two-theta):
16.90 deg, I = 100
19.68 deg, I = 29
27.10 deg, I = 35
31.22 deg, I = 69
31.61 deg, I = 65
37.63 deg, I = 21
43.80 deg, I = 19
46.96 deg, I = 29
51.92 deg, I = 39
61.72 deg, I = 17

Atomic structure:
```
data_LiMn2O2F3
_cell_length_a 6.100
_cell_length_b 6.100
_cell_length_c 6.872
_cell_angle_alpha 107.70
_cell_angle_beta 107.70
_cell_angle_gamma 48.34
_space_group_name_H-M_alt 'P 1'
_space_group_IT_number 1
loop_
_space_group_symop_operation_xyz
'x,y,z'
loop_
_atom_site_label
_atom_site_type_symbol
_atom_site_fract_x
_atom_site_fract_y
_atom_site_fract_z
_atom_site_occupancy
Li1 Li 0.000 0.000 0.000 1
Li2 Li 0.000 0.000 0.500 1
Mn1 Mn 0.285 0.338 0.631 1
Mn2 Mn 0.338 0.285 0.131 1
Mn3 Mn 0.662 0.715 0.869 1
Mn4 Mn 0.715 0.662 0.369 1
O1 O 0.123 0.478 0.367 1
O2 O 0.478 0.123 0.867 1
O3 O 0.522 0.877 0.133 1
O4 O 0.877 0.522 0.633 1
F1 F 0.080 0.674 0.051 1
F2 F 0.291 0.709 0.750 1
F3 F 0.326 0.920 0.449 1
F4 F 0.674 0.080 0.551 1
F5 F 0.709 0.291 0.250 1
F6 F 0.920 0.326 0.949 1
```

---

No. 5
Structure and computed powder diffraction line list of LiMn2OF3 (a GGA+U-relaxed structure; Cu Kα).
Intensities are scaled so that the largest is 100.

Main lines, sorted by position (10 to 90 degrees two-theta):
17.21 deg, I = 43
20.08 deg, I = 64
28.10 deg, I = 89
28.29 deg, I = 45
28.41 deg, I = 44
33.09 deg, I = 100
33.32 deg, I = 99
33.52 deg, I = 98
58.51 deg, I = 48
58.79 deg, I = 47

Atomic structure:
```
data_LiMn2OF3
_cell_length_a 6.329
_cell_length_b 6.352
_cell_length_c 8.843
_cell_angle_alpha 90.00
_cell_angle_beta 90.00
_cell_angle_gamma 89.48
_space_group_name_H-M_alt 'P 1'
_space_group_IT_number 1
loop_
_space_group_symop_operation_xyz
'x,y,z'
loop_
_atom_site_label
_atom_site_type_symbol
_atom_site_fract_x
_atom_site_fract_y
_atom_site_fract_z
_atom_site_occupancy
Li1 Li 0.000 0.000 0.000 1
Li2 Li 0.000 0.499 0.026 1
Li3 Li 0.499 0.477 0.527 1
Li4 Li 0.500 0.975 0.500 1
Mn1 Mn 0.249 0.738 0.263 1
Mn2 Mn 0.250 0.238 0.764 1
Mn3 Mn 0.501 0.198 0.155 1
Mn4 Mn 0.501 0.698 0.872 1
Mn5 Mn 0.750 0.238 0.763 1
Mn6 Mn 0.750 0.737 0.263 1
Mn7 Mn 0.999 0.278 0.373 1
Mn8 Mn 0.999 0.778 0.654 1
O1 O 0.000 0.037 0.776 1
O2 O 0.000 0.536 0.250 1
O3 O 0.500 0.439 0.750 1
O4 O 0.500 0.938 0.276 1
F1 F 0.235 0.748 0.009 1
F2 F 0.236 0.247 0.018 1
F3 F 0.264 0.728 0.517 1
F4 F 0.265 0.228 0.509 1
F5 F 0.500 0.478 0.281 1
F6 F 0.501 0.978 0.746 1
F7 F 0.734 0.226 0.508 1
F8 F 0.735 0.726 0.518 1
F9 F 0.765 0.250 0.018 1
F10 F 0.765 0.749 0.008 1
F11 F 0.999 0.498 0.781 1
F12 F 0.999 0.998 0.246 1
```

---

No. 6
Structure and computed powder diffraction line list of Li3Mn5OF11 (a GGA+U-relaxed structure; Cu Kα).
Intensities are scaled so that the largest is 100.

Main lines, sorted by position (10 to 90 degrees two-theta):
22.36 deg, I = 100
22.94 deg, I = 49
30.79 deg, I = 42
31.03 deg, I = 41
31.18 deg, I = 41
32.84 deg, I = 23
37.86 deg, I = 32
37.95 deg, I = 24
45.63 deg, I = 36
50.00 deg, I = 59

Atomic structure:
```
data_Li3Mn5OF11
_cell_length_a 5.364
_cell_length_b 5.766
_cell_length_c 9.420
_cell_angle_alpha 73.43
_cell_angle_beta 89.14
_cell_angle_gamma 63.14
_space_group_name_H-M_alt 'P 1'
_space_group_IT_number 1
loop_
_space_group_symop_operation_xyz
'x,y,z'
loop_
_atom_site_label
_atom_site_type_symbol
_atom_site_fract_x
_atom_site_fract_y
_atom_site_fract_z
_atom_site_occupancy
Li1 Li 0.000 0.000 0.000 1
Li2 Li 0.211 0.553 0.719 1
Li3 Li 0.747 0.484 0.241 1
Mn1 Mn 0.075 0.828 0.348 1
Mn2 Mn 0.309 0.366 0.088 1
Mn3 Mn 0.536 0.966 0.499 1
Mn4 Mn 0.570 0.869 0.858 1
Mn5 Mn 0.851 0.359 0.603 1
O1 O 0.953 0.672 0.542 1
F1 F 0.004 0.653 0.190 1
F2 F 0.018 0.653 0.888 1
F3 F 0.080 0.141 0.149 1
F4 F 0.092 0.150 0.451 1
F5 F 0.119 0.146 0.812 1
F6 F 0.479 0.653 0.054 1
F7 F 0.497 0.676 0.707 1
F8 F 0.521 0.646 0.390 1
F9 F 0.577 0.173 0.650 1
F10 F 0.594 0.147 0.960 1
F11 F 0.608 0.178 0.289 1
```

---

No. 7
Structure and computed powder diffraction line list of Li7MnO4F2 (a GGA+U-relaxed structure; Cu Kα).
Intensities are scaled so that the largest is 100.

Main lines, sorted by position (10 to 90 degrees two-theta):
17.58 deg, I = 100
18.36 deg, I = 65
19.07 deg, I = 78
19.75 deg, I = 70
20.96 deg, I = 58
32.46 deg, I = 87
34.45 deg, I = 95
45.57 deg, I = 43
45.96 deg, I = 28
51.86 deg, I = 38

Atomic structure:
```
data_Li7MnO4F2
_cell_length_a 5.428
_cell_length_b 5.778
_cell_length_c 10.039
_cell_angle_alpha 74.81
_cell_angle_beta 87.18
_cell_angle_gamma 64.50
_space_group_name_H-M_alt 'P 1'
_space_group_IT_number 1
loop_
_space_group_symop_operation_xyz
'x,y,z'
loop_
_atom_site_label
_atom_site_type_symbol
_atom_site_fract_x
_atom_site_fract_y
_atom_site_fract_z
_atom_site_occupancy
Li1 Li 0.000 0.000 0.000 1
Li2 Li 0.000 0.446 0.134 1
Li3 Li 0.426 0.849 0.858 1
Li4 Li 0.430 0.095 0.428 1
Li5 Li 0.430 0.665 0.297 1
Li6 Li 0.465 0.777 0.086 1
Li7 Li 0.473 0.179 0.217 1
Li8 Li 0.483 0.374 0.742 1
Li9 Li 0.484 0.560 0.528 1
Li10 Li 0.904 0.594 0.913 1
Li11 Li 0.904 0.768 0.704 1
Li12 Li 0.954 0.903 0.217 1
Li13 Li 0.969 0.309 0.359 1
Li14 Li 0.990 0.253 0.586 1
Mn1 Mn 0.454 0.305 0.976 1
Mn2 Mn 0.955 0.766 0.430 1
O1 O 0.131 0.979 0.409 1
O2 O 0.181 0.645 0.080 1
O3 O 0.262 0.436 0.361 1
O4 O 0.288 0.117 0.035 1
O5 O 0.618 0.504 0.930 1
O6 O 0.665 0.844 0.271 1
O7 O 0.708 0.968 0.871 1
O8 O 0.798 0.604 0.506 1
F1 F 0.123 0.397 0.759 1
F2 F 0.273 0.729 0.683 1
F3 F 0.668 0.193 0.578 1
F4 F 0.785 0.247 0.183 1
```

---

No. 8
Structure and computed powder diffraction line list of Li3Mn3OF7 (a GGA+U-relaxed structure; Cu Kα).
Intensities are scaled so that the largest is 100.

Main lines, sorted by position (10 to 90 degrees two-theta):
17.22 deg, I = 44
17.77 deg, I = 79
20.07 deg, I = 17
33.21 deg, I = 53
33.51 deg, I = 13
40.78 deg, I = 100
44.80 deg, I = 18
54.38 deg, I = 13
58.31 deg, I = 22
59.78 deg, I = 19

Atomic structure:
```
data_Li3Mn3OF7
_cell_length_a 6.192
_cell_length_b 6.192
_cell_length_c 6.182
_cell_angle_alpha 118.46
_cell_angle_beta 118.46
_cell_angle_gamma 61.62
_space_group_name_H-M_alt 'P 1'
_space_group_IT_number 1
loop_
_space_group_symop_operation_xyz
'x,y,z'
loop_
_atom_site_label
_atom_site_type_symbol
_atom_site_fract_x
_atom_site_fract_y
_atom_site_fract_z
_atom_site_occupancy
Li1 Li 0.000 0.000 0.000 1
Li2 Li 0.259 0.259 0.741 1
Li3 Li 0.623 0.623 0.377 1
Mn1 Mn 0.134 0.614 0.387 1
Mn2 Mn 0.612 0.612 0.863 1
Mn3 Mn 0.614 0.134 0.387 1
O1 O 0.386 0.386 0.614 1
F1 F 0.386 0.386 0.139 1
F2 F 0.386 0.864 0.614 1
F3 F 0.393 0.867 0.133 1
F4 F 0.864 0.386 0.614 1
F5 F 0.865 0.865 0.134 1
F6 F 0.867 0.393 0.133 1
F7 F 0.867 0.867 0.607 1
```